The following is a calculated XRD peak list of Pu2VO11. It was derived from a crystal structure in Alexandria, relaxed with PBE+U, using copper Kα.
Peak positions follow from Bragg's law for the DFT cell and can differ from measured ones.

Peak list (12 most intense, 2θ from 10° to 90°, in order of rising 2θ)
2θ = 13.2°, I 24.0
2θ = 13.4°, I 19.9
2θ = 17.7°, I 83.3
2θ = 20.7°, I 34.7
2θ = 21.0°, I 47.3
2θ = 21.3°, I 100.0
2θ = 22.0°, I 34.6
2θ = 23.8°, I 23.6
2θ = 24.5°, I 21.8
2θ = 26.6°, I 39.5
2θ = 28.9°, I 25.4
2θ = 44.1°, I 17.2

Cell and atoms:
```
Pu2VO11
1.0
8.2052 0.0000 0.0000
3.8230 7.4791 0.0000
1.1218 3.7391 7.5512
Pu V O
4 2 22
direct
0.0000 0.0000 0.0000
0.1210 0.4541 0.8609
0.4497 0.7890 0.6181
0.6267 0.5148 0.3078
0.0369 0.5393 0.4114
0.5715 0.0105 0.8925
0.0005 0.2462 0.8376
0.0606 0.5785 0.6019
0.1794 0.3485 0.0945
0.1872 0.9572 0.1271
0.2175 0.7117 0.7738
0.2202 0.8289 0.8436
0.2321 0.3632 0.4153
0.2657 0.0093 0.4686
0.3752 0.2482 0.8530
0.4378 0.5530 0.1830
0.4621 0.6310 0.4655
0.5300 0.9533 0.7447
0.5904 0.8235 0.0985
0.6052 0.5633 0.7933
0.6342 0.8327 0.4761
0.6634 0.2656 0.4791
0.7848 0.0440 0.8762
0.7970 0.1790 0.1540
0.8219 0.3198 0.1566
0.8658 0.4617 0.4229
0.8991 0.6412 0.8755
0.9902 0.7538 0.1969
```